Entry 1:
# Li4MnCo2O7
Calculated powder XRD pattern, a wavelength of 1.5418 Å. Input: a cell relaxed with GGA+U.
Lines closer than 0.1° are merged.

Structure:
```
data_Li4MnCo2O7
_cell_length_a 2.945
_cell_length_b 7.762
_cell_length_c 11.259
_cell_angle_alpha 80.72
_cell_angle_beta 83.03
_cell_angle_gamma 82.00
_space_group_name_H-M_alt 'P 1'
_space_group_IT_number 1
_space_group_name_Hall 'P 1'
loop_
_atom_site_label
_atom_site_fract_x
_atom_site_fract_y
_atom_site_fract_z
Li1 0.000 0.000 0.000
Li2 0.053 0.220 0.649
Li3 0.143 0.429 0.287
Li4 0.267 0.859 0.580
Li5 0.438 0.285 0.846
Li6 0.571 0.715 0.143
Li7 0.724 0.139 0.434
Li8 0.872 0.560 0.716
Mn1 0.505 0.491 0.509
Mn2 0.783 0.356 0.073
Co1 0.210 0.645 0.926
Co2 0.366 0.069 0.216
Co3 0.642 0.940 0.780
Co4 0.948 0.785 0.357
O1 0.019 0.092 0.821
O2 0.077 0.342 0.470
O3 0.143 0.538 0.100
O4 0.277 0.757 0.760
O5 0.326 0.958 0.387
O6 0.414 0.178 0.048
O7 0.462 0.401 0.669
O8 0.548 0.614 0.333
O9 0.621 0.821 0.949
O10 0.683 0.018 0.625
O11 0.721 0.245 0.246
O12 0.811 0.466 0.903
O13 0.936 0.656 0.531
O14 0.995 0.902 0.185
```

Most intense lines, 2θ from 10° to 90°, low angle first:
two_theta  intensity
18.4  100
35.0  18
36.4  13
36.6  12
42.2  32
44.3  27
44.4  27
58.4  9

Entry 2:
# Li4MnCo3O8
Calculated powder XRD pattern, a wavelength of 1.5418 Å. Input: a cell relaxed with GGA+U.
Lines closer than 0.1° are merged.

Structure:
```
data_Li4MnCo3O8
_cell_length_a 13.031
_cell_length_b 2.918
_cell_length_c 9.924
_cell_angle_alpha 90.00
_cell_angle_beta 129.42
_cell_angle_gamma 90.00
_space_group_name_H-M_alt 'C 1 2/m 1'
_space_group_IT_number 12
_space_group_name_Hall '-C 2y'
loop_
_atom_site_label
_atom_site_fract_x
_atom_site_fract_y
_atom_site_fract_z
Li1 0.124 0.000 0.371
Li2 0.127 0.500 0.884
Mn1 0.000 0.500 0.500
Co1 0.000 0.000 0.000
Co2 0.244 0.500 0.244
O1 0.055 0.000 0.665
O2 0.060 0.500 0.180
O3 0.177 0.500 0.568
O4 0.186 0.000 0.068
```

Most intense lines, 2θ from 10° to 90°, low angle first:
two_theta  intensity
18.1  100
35.7  14
36.0  27
37.5  14
43.0  26
43.5  50
62.3  14
63.3  13

Entry 3:
# Li4MnCo2O7
Calculated powder XRD pattern, a wavelength of 1.5418 Å. Input: a cell relaxed with GGA+U.
Lines closer than 0.1° are merged.

Structure:
```
data_Li4MnCo2O7
_cell_length_a 13.089
_cell_length_b 2.892
_cell_length_c 14.524
_cell_angle_alpha 90.00
_cell_angle_beta 112.47
_cell_angle_gamma 90.00
_space_group_name_H-M_alt 'C 1 m 1'
_space_group_IT_number 8
_space_group_name_Hall 'C -2y'
loop_
_atom_site_label
_atom_site_fract_x
_atom_site_fract_y
_atom_site_fract_z
Li1 0.000 0.000 0.000
Li2 0.007 0.000 0.509
Li3 0.076 0.500 0.858
Li4 0.149 0.000 0.718
Li5 0.218 0.500 0.580
Li6 0.296 0.000 0.443
Li7 0.366 0.500 0.300
Li8 0.439 0.000 0.150
Mn1 0.147 0.000 0.225
Mn2 0.220 0.500 0.076
Co1 0.068 0.500 0.376
Co2 0.298 0.000 0.934
Co3 0.360 0.500 0.787
Co4 0.446 0.000 0.644
O1 0.023 0.000 0.263
O2 0.070 0.500 0.618
O3 0.083 0.500 0.130
O4 0.148 0.000 0.464
O5 0.157 0.000 0.980
O6 0.215 0.500 0.316
O7 0.227 0.500 0.836
O8 0.274 0.000 0.177
O9 0.297 0.000 0.694
O10 0.364 0.500 0.039
O11 0.370 0.500 0.555
O12 0.430 0.000 0.893
O13 0.440 0.000 0.394
O14 0.494 0.500 0.746
```

Most intense lines, 2θ from 10° to 90°, low angle first:
two_theta  intensity
18.2  100
35.2  15
36.2  24
42.6  28
43.8  55
47.4  13
62.6  15
62.8  15

Entry 4:
# Li6Mn3CoO10
Calculated powder XRD pattern, a wavelength of 1.5418 Å. Input: a cell relaxed with GGA+U.
Lines closer than 0.1° are merged.

Structure:
```
data_Li6Mn3CoO10
_cell_length_a 2.993
_cell_length_b 5.086
_cell_length_c 12.545
_cell_angle_alpha 79.12
_cell_angle_beta 88.10
_cell_angle_gamma 76.49
_space_group_name_H-M_alt 'P 1'
_space_group_IT_number 1
_space_group_name_Hall 'P 1'
loop_
_atom_site_label
_atom_site_fract_x
_atom_site_fract_y
_atom_site_fract_z
Li1 0.000 0.000 0.000
Li2 0.089 0.816 0.705
Li3 0.191 0.614 0.402
Li4 0.407 0.192 0.802
Li5 0.606 0.802 0.203
Li6 0.833 0.386 0.613
Mn1 0.300 0.405 0.100
Mn2 0.511 0.997 0.512
Mn3 0.915 0.195 0.304
Co1 0.693 0.608 0.894
O1 0.039 0.873 0.858
O2 0.109 0.744 0.549
O3 0.233 0.488 0.250
O4 0.369 0.321 0.956
O5 0.447 0.107 0.643
O6 0.585 0.911 0.360
O7 0.633 0.687 0.043
O8 0.758 0.503 0.770
O9 0.901 0.262 0.455
O10 0.983 0.110 0.157
```

Most intense lines, 2θ from 10° to 90°, low angle first:
two_theta  intensity
14.4  10
18.3  100
34.2  18
36.5  21
41.0  36
44.4  28
44.6  27
61.9  17

Entry 5:
# Li4MnCo2O7
Calculated powder XRD pattern, a wavelength of 1.5418 Å. Input: a cell relaxed with GGA+U.
Lines closer than 0.1° are merged.

Structure:
```
data_Li4MnCo2O7
_cell_length_a 2.918
_cell_length_b 5.125
_cell_length_c 16.841
_cell_angle_alpha 87.63
_cell_angle_beta 88.01
_cell_angle_gamma 89.01
_space_group_name_H-M_alt 'P -1'
_space_group_IT_number 2
_space_group_name_Hall '-P 1'
loop_
_atom_site_label
_atom_site_fract_x
_atom_site_fract_y
_atom_site_fract_z
Li1 0.000 0.000 0.000
Li2 0.060 0.350 0.862
Li3 0.218 0.073 0.571
Li4 0.353 0.779 0.287
Li5 0.500 0.500 0.000
Mn1 0.435 0.129 0.138
Co1 0.134 0.710 0.714
Co2 0.289 0.431 0.429
O1 0.056 0.699 0.920
O2 0.076 0.014 0.792
O3 0.132 0.402 0.639
O4 0.288 0.729 0.502
O5 0.319 0.132 0.356
O6 0.411 0.436 0.217
O7 0.455 0.843 0.078
```

Most intense lines, 2θ from 10° to 90°, low angle first:
two_theta  intensity
18.3  100
35.2  16
35.9  14
36.9  11
42.4  31
43.5  28
44.8  25
64.9  9

Entry 6:
# Li7Mn2Co3O12
Calculated powder XRD pattern, a wavelength of 1.5418 Å. Input: a cell relaxed with GGA+U.
Lines closer than 0.1° are merged.

Structure:
```
data_Li7Mn2Co3O12
_cell_length_a 5.073
_cell_length_b 5.119
_cell_length_c 8.732
_cell_angle_alpha 90.36
_cell_angle_beta 90.75
_cell_angle_gamma 109.28
_space_group_name_H-M_alt 'P -1'
_space_group_IT_number 2
_space_group_name_Hall '-P 1'
loop_
_atom_site_label
_atom_site_fract_x
_atom_site_fract_y
_atom_site_fract_z
Li1 0.000 0.000 0.000
Li2 0.000 0.500 0.500
Li3 0.005 0.499 0.162
Li4 0.494 0.495 0.670
Li5 0.500 0.500 0.000
Mn1 0.498 0.994 0.837
Co1 0.005 0.004 0.324
Co2 0.500 0.000 0.500
O1 0.245 0.221 0.496
O2 0.250 0.217 0.824
O3 0.262 0.765 0.673
O4 0.266 0.230 0.170
O5 0.269 0.772 0.320
O6 0.281 0.774 0.000
```

Most intense lines, 2θ from 10° to 90°, low angle first:
two_theta  intensity
18.4  100
35.9  14
35.9  13
43.3  29
43.6  29
44.1  28
63.0  15
64.0  15

Entry 7:
# Li4MnCo2O7
Calculated powder XRD pattern, a wavelength of 1.5418 Å. Input: a cell relaxed with GGA+U.
Lines closer than 0.1° are merged.

Structure:
```
data_Li4MnCo2O7
_cell_length_a 9.856
_cell_length_b 2.869
_cell_length_c 18.161
_cell_angle_alpha 90.00
_cell_angle_beta 96.98
_cell_angle_gamma 90.00
_space_group_name_H-M_alt 'C 1 m 1'
_space_group_IT_number 8
_space_group_name_Hall 'C -2y'
loop_
_atom_site_label
_atom_site_fract_x
_atom_site_fract_y
_atom_site_fract_z
Li1 0.000 0.000 0.000
Li2 0.000 0.000 0.493
Li3 0.067 0.500 0.140
Li4 0.137 0.000 0.284
Li5 0.205 0.500 0.423
Li6 0.282 0.000 0.556
Li7 0.358 0.500 0.705
Li8 0.424 0.000 0.856
Mn1 0.074 0.500 0.630
Mn2 0.144 0.000 0.780
Co1 0.209 0.500 0.927
Co2 0.280 0.000 0.070
Co3 0.357 0.500 0.213
Co4 0.422 0.000 0.361
O1 0.016 0.500 0.744
O2 0.056 0.000 0.385
O3 0.083 0.000 0.890
O4 0.137 0.500 0.541
O5 0.147 0.500 0.032
O6 0.200 0.000 0.670
O7 0.222 0.000 0.173
O8 0.274 0.500 0.811
O9 0.294 0.500 0.314
O10 0.336 0.000 0.956
O11 0.351 0.000 0.453
O12 0.412 0.500 0.099
O13 0.446 0.500 0.608
O14 0.489 0.000 0.242
```

Most intense lines, 2θ from 10° to 90°, low angle first:
two_theta  intensity
18.2  100
34.8  15
36.4  24
42.1  29
44.0  53
47.4  13
62.4  15
62.5  14

Entry 8:
# Li4MnCo2O7
Calculated powder XRD pattern, a wavelength of 1.5418 Å. Input: a cell relaxed with GGA+U.
Lines closer than 0.1° are merged.

Structure:
```
data_Li4MnCo2O7
_cell_length_a 3.021
_cell_length_b 5.059
_cell_length_c 16.733
_cell_angle_alpha 90.01
_cell_angle_beta 92.30
_cell_angle_gamma 91.56
_space_group_name_H-M_alt 'P -1'
_space_group_IT_number 2
_space_group_name_Hall '-P 1'
loop_
_atom_site_label
_atom_site_fract_x
_atom_site_fract_y
_atom_site_fract_z
Li1 0.000 0.000 0.000
Li2 0.065 0.646 0.143
Li3 0.215 0.929 0.428
Li4 0.360 0.213 0.715
Li5 0.500 0.500 0.000
Mn1 0.294 0.572 0.573
Co1 0.137 0.279 0.282
Co2 0.433 0.858 0.864
O1 0.014 0.311 0.077
O2 0.140 0.985 0.213
O3 0.141 0.587 0.354
O4 0.280 0.268 0.501
O5 0.330 0.875 0.645
O6 0.386 0.571 0.788
O7 0.458 0.147 0.920
```

Most intense lines, 2θ from 10° to 90°, low angle first:
two_theta  intensity
10.6  10
18.3  100
34.4  19
36.0  13
36.8  11
41.3  33
43.8  27
45.0  24